Record 1
Simulated powder X-ray diffraction pattern
Compound: Pu2SiRu2
Radiation: Cu Kα X-rays
Structure: a crystal structure in Alexandria, relaxed with GGA-PBE
Lines closer than 0.1° are merged.

Structural model:
Cell lengths 5.6252, 5.6252, 7.6779 Å; angles 105.01, 105.01, 56.12 degrees
Fractional positions:
Pu: 0.0014 0.2907 0.1439
Pu: 0.2907 0.0014 0.6439
Pu: 0.7093 0.9986 0.3561
Pu: 0.9986 0.7093 0.8561
Si: 0.3863 0.6137 0.2500
Si: 0.6137 0.3863 0.7500
Ru: 0.2221 0.5183 0.4770
Ru: 0.4817 0.7779 0.0230
Ru: 0.5183 0.2221 0.9770
Ru: 0.7779 0.4817 0.5230

Principal peaks in the range 5° ≤ 2θ ≤ 70°, by angle:
- 24.18°, rel. 30
- 25.97°, rel. 71
- 32.14°, rel. 22
- 33.27°, rel. 28
- 35.02°, rel. 37
- 36.08°, rel. 45
- 37.92°, rel. 38
- 39.14°, rel. 100
- 42.66°, rel. 26
- 56.15°, rel. 24



Record 2
Simulated powder X-ray diffraction pattern
Compound: Pu3Si7Ru
Radiation: Cu Kα X-rays
Structure: a crystal structure in Alexandria, relaxed with GGA-PBE
Lines closer than 0.1° are merged.

Structural model:
Cell lengths 9.6409, 9.6409, 10.7063 Å; angles 90.00, 90.00, 156.64 degrees
Fractional positions:
Pu: 0.1074 0.8926 0.5532
Pu: 0.1074 0.8926 0.9468
Pu: 0.2348 0.7652 0.2500
Pu: 0.7652 0.2348 0.7500
Pu: 0.8926 0.1074 0.0532
Pu: 0.8926 0.1074 0.4468
Si: 0.2676 0.7324 0.5455
Si: 0.2676 0.7324 0.9545
Si: 0.3753 0.6247 0.6433
Si: 0.3753 0.6247 0.8567
Si: 0.3866 0.6134 0.2500
Si: 0.5004 0.4996 0.1184
Si: 0.5004 0.4996 0.3816
Si: 0.4996 0.5004 0.6184
Si: 0.4996 0.5004 0.8816
Si: 0.6134 0.3866 0.7500
Si: 0.6247 0.3753 0.1433
Si: 0.6247 0.3753 0.3567
Si: 0.7324 0.2676 0.0455
Si: 0.7324 0.2676 0.4545
Ru: 0.0530 0.9470 0.2500
Ru: 0.9470 0.0530 0.7500

Principal peaks in the range 5° ≤ 2θ ≤ 70°, by angle:
- 23.27°, rel. 47
- 25.15°, rel. 72
- 26.70°, rel. 50
- 28.16°, rel. 34
- 28.36°, rel. 33
- 34.08°, rel. 36
- 34.38°, rel. 100
- 37.14°, rel. 63
- 46.54°, rel. 34
- 48.29°, rel. 37



Record 3
Simulated powder X-ray diffraction pattern
Compound: Sm2Pu3Ru2
Radiation: Cu Kα X-rays
Structure: a crystal structure in Alexandria, relaxed with GGA-PBE
Lines closer than 0.1° are merged.

Structural model:
Cell lengths 5.9906, 5.9906, 8.4830 Å; angles 110.34, 110.34, 38.06 degrees
Fractional positions:
Sm: 0.1618 0.1618 0.3074
Sm: 0.8382 0.8382 0.6926
Pu: 0.3779 0.3779 0.0639
Pu: 0.5000 0.5000 0.5000
Pu: 0.6221 0.6221 0.9361
Ru: 0.1340 0.1340 0.7139
Ru: 0.8660 0.8660 0.2861

Principal peaks in the range 5° ≤ 2θ ≤ 70°, by angle:
- 31.12°, rel. 48
- 31.62°, rel. 38
- 31.97°, rel. 39
- 33.03°, rel. 100
- 35.52°, rel. 72
- 35.67°, rel. 41
- 39.19°, rel. 30
- 39.55°, rel. 31
- 46.50°, rel. 41
- 62.10°, rel. 30



Record 4
Simulated powder X-ray diffraction pattern
Compound: SmPu5Ru6
Radiation: Cu Kα X-rays
Structure: a crystal structure in Alexandria, relaxed with GGA-PBE
Lines closer than 0.1° are merged.

Structural model:
Cell lengths 4.7955, 6.7656, 8.3311 Å; angles 113.81, 106.63, 90.19 degrees
Fractional positions:
Sm: 0.0000 0.0000 0.0000
Pu: 0.0000 0.5000 0.0000
Pu: 0.3325 0.3324 0.6651
Pu: 0.3342 0.8341 0.6684
Pu: 0.6658 0.1659 0.3316
Pu: 0.6675 0.6676 0.3349
Ru: 0.1713 0.4285 0.3429
Ru: 0.1718 0.9147 0.3431
Ru: 0.4986 0.7341 0.9995
Ru: 0.5014 0.2659 0.0005
Ru: 0.8282 0.0853 0.6569
Ru: 0.8287 0.5715 0.6571

Principal peaks in the range 5° ≤ 2θ ≤ 70°, by angle:
- 26.20°, rel. 16
- 26.35°, rel. 8
- 37.28°, rel. 25
- 37.48°, rel. 100
- 37.57°, rel. 25
- 53.92°, rel. 18
- 54.23°, rel. 9
- 67.34°, rel. 13
- 67.59°, rel. 13
- 67.71°, rel. 13



Record 5
Simulated powder X-ray diffraction pattern
Compound: Pu8SnRu6
Radiation: Cu Kα X-rays
Structure: a crystal structure in Alexandria, relaxed with GGA-PBE
Lines closer than 0.1° are merged.

Structural model:
Cell lengths 7.3290, 7.3290, 7.3290 Å; angles 69.00, 69.00, 69.00 degrees
Fractional positions:
Pu: 0.0908 0.3656 0.6920
Pu: 0.1735 0.1735 0.1735
Pu: 0.3080 0.9092 0.6344
Pu: 0.3656 0.6920 0.0908
Pu: 0.6344 0.3080 0.9092
Pu: 0.6920 0.0908 0.3656
Pu: 0.8265 0.8265 0.8265
Pu: 0.9092 0.6344 0.3080
Sn: 0.5000 0.5000 0.5000
Ru: 0.1181 0.7854 0.4563
Ru: 0.2146 0.5437 0.8819
Ru: 0.4563 0.1181 0.7854
Ru: 0.5437 0.8819 0.2146
Ru: 0.7854 0.4563 0.1181
Ru: 0.8819 0.2146 0.5437

Principal peaks in the range 5° ≤ 2θ ≤ 70°, by angle:
- 21.40°, rel. 11
- 26.83°, rel. 69
- 33.41°, rel. 10
- 37.53°, rel. 97
- 39.07°, rel. 100
- 46.73°, rel. 12
- 55.29°, rel. 31
- 63.57°, rel. 10
- 67.71°, rel. 13
- 68.75°, rel. 27



Record 6
Simulated powder X-ray diffraction pattern
Compound: Pu11Sn9Ru4
Radiation: Cu Kα X-rays
Structure: a crystal structure in Alexandria, relaxed with GGA-PBE
Lines closer than 0.1° are merged.

Structural model:
Cell lengths 12.4008, 12.4008, 3.9714 Å; angles 90.00, 90.00, 111.22 degrees
Fractional positions:
Pu: 0.0000 0.0000 0.0000
Pu: 0.0740 0.4218 0.0000
Pu: 0.1518 0.8482 0.0000
Pu: 0.3127 0.3127 0.0000
Pu: 0.3708 0.6292 0.0000
Pu: 0.4218 0.0740 0.0000
Pu: 0.5782 0.9260 0.0000
Pu: 0.6292 0.3708 0.0000
Pu: 0.6873 0.6873 0.0000
Pu: 0.8482 0.1518 0.0000
Pu: 0.9260 0.5782 0.0000
Sn: 0.0763 0.2223 0.5000
Sn: 0.1536 0.6358 0.5000
Sn: 0.2223 0.0763 0.5000
Sn: 0.3642 0.8464 0.5000
Sn: 0.5000 0.5000 0.5000
Sn: 0.6358 0.1536 0.5000
Sn: 0.7777 0.9237 0.5000
Sn: 0.8464 0.3642 0.5000
Sn: 0.9237 0.7777 0.5000
Ru: 0.2465 0.4518 0.5000
Ru: 0.4518 0.2465 0.5000
Ru: 0.5482 0.7535 0.5000
Ru: 0.7535 0.5482 0.5000

Principal peaks in the range 5° ≤ 2θ ≤ 70°, by angle:
- 31.24°, rel. 26
- 32.37°, rel. 23
- 34.14°, rel. 99
- 34.66°, rel. 100
- 36.78°, rel. 62
- 36.98°, rel. 30
- 45.69°, rel. 38
- 58.33°, rel. 22
- 60.04°, rel. 32
- 60.53°, rel. 26



Record 7
Simulated powder X-ray diffraction pattern
Compound: Pu3SnRu3
Radiation: Cu Kα X-rays
Structure: a crystal structure in Alexandria, relaxed with GGA-PBE
Lines closer than 0.1° are merged.

Structural model:
Cell lengths 10.5284, 10.5284, 10.5284 Å; angles 31.65, 31.65, 31.65 degrees
Fractional positions:
Pu: 0.0798 0.3154 0.8326
Pu: 0.1674 0.9202 0.6846
Pu: 0.3154 0.8326 0.0798
Pu: 0.6846 0.1674 0.9202
Pu: 0.8326 0.0798 0.3154
Pu: 0.9202 0.6846 0.1674
Sn: 0.3331 0.3331 0.3331
Sn: 0.6669 0.6669 0.6669
Ru: 0.1240 0.6599 0.6099
Ru: 0.3401 0.3901 0.8760
Ru: 0.3901 0.8760 0.3401
Ru: 0.6099 0.1240 0.6599
Ru: 0.6599 0.6099 0.1240
Ru: 0.8760 0.3401 0.3901

Principal peaks in the range 5° ≤ 2θ ≤ 70°, by angle:
- 17.75°, rel. 85
- 27.49°, rel. 67
- 29.85°, rel. 44
- 32.44°, rel. 100
- 36.08°, rel. 49
- 41.52°, rel. 66
- 45.38°, rel. 27
- 48.53°, rel. 39
- 48.83°, rel. 41
- 50.03°, rel. 34



Record 8
Simulated powder X-ray diffraction pattern
Compound: TmPuTlRu
Radiation: Cu Kα X-rays
Structure: a crystal structure in Alexandria, relaxed with GGA-PBE
Lines closer than 0.1° are merged.

Structural model:
Cell lengths 3.3265, 3.3265, 8.3471 Å; angles 90.00, 90.00, 90.00 degrees
Fractional positions:
Tm: 0.0000 0.0000 0.0000
Pu: 0.0000 0.0000 0.5913
Tl: 0.5000 0.5000 0.2918
Ru: 0.5000 0.5000 0.7986

Principal peaks in the range 5° ≤ 2θ ≤ 70°, by angle:
- 28.89°, rel. 19
- 32.17°, rel. 12
- 34.48°, rel. 100
- 38.26°, rel. 46
- 43.36°, rel. 7
- 50.83°, rel. 14
- 55.23°, rel. 16
- 59.19°, rel. 11
- 62.22°, rel. 11
- 66.75°, rel. 30



Record 9
Simulated powder X-ray diffraction pattern
Compound: Pu5URu4
Radiation: Cu Kα X-rays
Structure: a crystal structure in Alexandria, relaxed with GGA-PBE
Lines closer than 0.1° are merged.

Structural model:
Cell lengths 7.8149, 7.8149, 6.8525 Å; angles 101.30, 101.30, 32.71 degrees
Fractional positions:
Pu: 0.0000 0.0000 0.0000
Pu: 0.3128 0.3128 0.4463
Pu: 0.3369 0.3369 0.9338
Pu: 0.6631 0.6631 0.0662
Pu: 0.6872 0.6872 0.5537
U: 0.0000 0.0000 0.5000
Ru: 0.1557 0.1557 0.7812
Ru: 0.4923 0.4923 0.2839
Ru: 0.5077 0.5077 0.7161
Ru: 0.8443 0.8443 0.2188

Principal peaks in the range 5° ≤ 2θ ≤ 70°, by angle:
- 26.58°, rel. 25
- 27.25°, rel. 74
- 35.15°, rel. 33
- 35.62°, rel. 100
- 36.73°, rel. 56
- 41.01°, rel. 58
- 41.08°, rel. 58
- 56.22°, rel. 31
- 60.58°, rel. 17
- 61.64°, rel. 17



Record 10
Simulated powder X-ray diffraction pattern
Compound: PuU3Ru3
Radiation: Cu Kα X-rays
Structure: a crystal structure in Alexandria, relaxed with GGA-PBE
Lines closer than 0.1° are merged.

Structural model:
Cell lengths 5.5375, 6.6889, 8.2296 Å; angles 105.74, 100.38, 113.09 degrees
Fractional positions:
Pu: 0.2401 0.3279 0.3248
Pu: 0.7599 0.6721 0.6752
U: 0.1907 0.6185 0.7679
U: 0.1938 0.9312 0.1926
U: 0.3406 0.2773 0.6121
U: 0.6594 0.7227 0.3879
U: 0.8062 0.0688 0.8074
U: 0.8093 0.3815 0.2321
Ru: 0.2469 0.4651 0.0237
Ru: 0.2559 0.8257 0.5225
Ru: 0.3264 0.0693 0.8909
Ru: 0.6736 0.9307 0.1091
Ru: 0.7441 0.1743 0.4775
Ru: 0.7531 0.5349 0.9763

Principal peaks in the range 5° ≤ 2θ ≤ 70°, by angle:
- 26.74°, rel. 22
- 32.89°, rel. 24
- 33.28°, rel. 40
- 36.06°, rel. 37
- 37.31°, rel. 45
- 37.82°, rel. 100
- 40.42°, rel. 34
- 42.31°, rel. 18
- 44.60°, rel. 22
- 48.39°, rel. 23



Record 11
Simulated powder X-ray diffraction pattern
Compound: Y2PuRu2
Radiation: Cu Kα X-rays
Structure: a crystal structure in Alexandria, relaxed with GGA-PBE
Lines closer than 0.1° are merged.

Structural model:
Cell lengths 5.8146, 5.8146, 7.8175 Å; angles 99.92, 99.92, 60.15 degrees
Fractional positions:
Y: 0.0227 0.2805 0.1503
Y: 0.2805 0.0227 0.6503
Y: 0.7195 0.9773 0.3497
Y: 0.9773 0.7195 0.8497
Pu: 0.3733 0.6267 0.2500
Pu: 0.6267 0.3733 0.7500
Ru: 0.2293 0.5066 0.4913
Ru: 0.4934 0.7707 0.0087
Ru: 0.5066 0.2293 0.9913
Ru: 0.7707 0.4934 0.5087

Principal peaks in the range 5° ≤ 2θ ≤ 70°, by angle:
- 17.68°, rel. 95
- 22.14°, rel. 47
- 32.32°, rel. 60
- 32.88°, rel. 100
- 35.32°, rel. 61
- 35.75°, rel. 57
- 37.88°, rel. 68
- 38.89°, rel. 99
- 39.32°, rel. 51
- 64.06°, rel. 36



Record 12
Simulated powder X-ray diffraction pattern
Compound: Pu2ZnRu4
Radiation: Cu Kα X-rays
Structure: a crystal structure in Alexandria, relaxed with GGA-PBE
Lines closer than 0.1° are merged.

Structural model:
Cell lengths 5.5485, 5.6383, 9.3800 Å; angles 88.02, 72.80, 60.59 degrees
Fractional positions:
Pu: 0.1614 0.1798 0.4973
Pu: 0.3384 0.3202 0.0027
Pu: 0.6616 0.6798 0.9973
Pu: 0.8386 0.8202 0.5027
Zn: 0.0000 0.0000 0.0000
Zn: 0.5000 0.5000 0.5000
Ru: 0.0071 0.7498 0.7500
Ru: 0.0066 0.7512 0.2334
Ru: 0.4915 0.7487 0.2666
Ru: 0.4943 0.7503 0.7500
Ru: 0.5057 0.2497 0.2500
Ru: 0.5085 0.2513 0.7334
Ru: 0.9934 0.2488 0.7666
Ru: 0.9929 0.2502 0.2500

Principal peaks in the range 5° ≤ 2θ ≤ 70°, by angle:
- 32.27°, rel. 57
- 32.93°, rel. 100
- 33.79°, rel. 89
- 36.93°, rel. 56
- 38.03°, rel. 71
- 38.25°, rel. 73
- 40.64°, rel. 91
- 43.37°, rel. 63
- 45.39°, rel. 55
- 66.36°, rel. 43



Record 13
Simulated powder X-ray diffraction pattern
Compound: PuZr5Ru4
Radiation: Cu Kα X-rays
Structure: a crystal structure in Alexandria, relaxed with GGA-PBE
Lines closer than 0.1° are merged.

Structural model:
Cell lengths 3.2657, 3.2657, 17.6191 Å; angles 90.00, 90.00, 90.00 degrees
Fractional positions:
Pu: 0.0000 0.0000 0.0000
Zr: 0.5000 0.5000 0.1262
Zr: 0.5000 0.5000 0.3128
Zr: 0.5000 0.5000 0.5000
Zr: 0.5000 0.5000 0.6872
Zr: 0.5000 0.5000 0.8738
Ru: 0.0000 0.0000 0.2198
Ru: 0.0000 0.0000 0.4064
Ru: 0.0000 0.0000 0.5936
Ru: 0.0000 0.0000 0.7802

Principal peaks in the range 5° ≤ 2θ ≤ 70°, by angle:
- 5.02°, rel. 7
- 29.16°, rel. 5
- 31.34°, rel. 8
- 34.18°, rel. 14
- 37.55°, rel. 100
- 39.00°, rel. 56
- 41.35°, rel. 6
- 56.35°, rel. 19
- 66.78°, rel. 9
- 69.70°, rel. 32